This entry pairs a crystal structure of Cs2Pd2Se3 with its theoretical PXRD pattern. Radiation: Cu Kα X-rays. Structure: a crystal structure in OQMD, relaxed with GGA-PBE.
Intensities are scaled so that the largest is 100.

Cell and atoms:
```
data_Cs2Pd2Se3
_cell_length_a 9.861
_cell_length_b 9.861
_cell_length_c 9.861
_cell_angle_alpha 90.00
_cell_angle_beta 90.00
_cell_angle_gamma 90.00
_symmetry_space_group_name_H-M 'I 21 3'
_symmetry_Int_Tables_number 199
_symmetry_space_group_name_Hall 'I 2b 2c 3'
loop_
_atom_site_label
_atom_site_fract_x
_atom_site_fract_y
_atom_site_fract_z
_atom_site_occupancy
Cs1 0.102 0.102 0.102 1
Pd1 0.105 0.395 0.605 1
Se1 0.000 0.250 0.435 1
```

Peak list (10 most intense, 2θ = 10–80°, low angle first)
- 17.99 deg, I 22
- 22.08 deg, I 58
- 28.63 deg, I 15
- 34.02 deg, I 100
- 46.99 deg, I 22
- 50.71 deg, I 24
- 52.50 deg, I 13
- 55.95 deg, I 8
- 57.63 deg, I 26
- 70.13 deg, I 8